(1)
# CdInSeI
Simulated powder diffractogram, λ = 1.5418 Å (Cu Kα). Input: a crystal structure in Alexandria, relaxed with PBE.
Peak positions follow from Bragg's law for the DFT cell and can differ from measured ones.

Top 8 peaks for 10° ≤ 2θ ≤ 80°, low angle first:
2θ 18.77, I 30; 2θ 24.58, I 18; 2θ 26.35, I 100; 2θ 37.84, I 62; 2θ 43.26, I 41; 2θ 45.84, I 27; 2θ 47.54, I 16; 2θ 58.80, I 17

Cell and atoms:
a = 4.1827 Å, b = 4.1827 Å, c = 9.4538 Å
α = 90.00°, β = 90.00°, γ = 120.00°
Positions (direct):
Cd1 0.0000 0.0000 0.0000
In1 0.0000 0.0000 0.7087
Se1 0.6667 0.3333 0.5774
I1 0.3333 0.6667 0.1824

***

(2)
# KCdI3
Simulated powder diffractogram, λ = 1.5418 Å (Cu Kα). Input: a crystal structure in Alexandria, relaxed with PBE.
Peak positions follow from Bragg's law for the DFT cell and can differ from measured ones.

Top 8 peaks for 10° ≤ 2θ ≤ 80°, low angle first:
2θ 19.02, I 19; 2θ 19.99, I 22; 2θ 25.64, I 100; 2θ 25.82, I 27; 2θ 29.66, I 17; 2θ 30.08, I 28; 2θ 38.85, I 19; 2θ 41.35, I 14

Cell and atoms:
a = 5.4993 Å, b = 9.2749 Å, c = 9.2796 Å
α = 73.91°, β = 89.48°, γ = 89.49°
Positions (direct):
K1 0.2239 0.2190 0.2185
K2 0.7761 0.7810 0.7815
Cd1 0.9997 0.3192 0.6808
Cd2 0.0003 0.6808 0.3192
I1 0.2522 0.6063 0.6060
I2 0.2550 0.0631 0.6687
I3 0.2554 0.6680 0.0633
I4 0.7446 0.3320 0.9367
I5 0.7450 0.9369 0.3313
I6 0.7478 0.3937 0.3940